Starting from DFT lattice parameters and positions (GGA-PBE), the X-ray powder pattern of HfAlNiOs was calculated for copper Kα.
Kinematic intensities with the Lorentz-polarization factor, no thermal factor.

Structure:
abc: 6.2251 6.2251 6.2251
angles: 90.00 90.00 90.00
Space group F-43m (No. 216)
Inequivalent atoms, fractional coordinates:
Hf  0.0000  0.0000  0.0000 [4 per cell]
Al  0.0000  0.0000  0.5000 [4 per cell]
Ni  0.2500  0.2500  0.7500 [4 per cell]
Os  0.2500  0.2500  0.2500 [4 per cell]

Top 6 peaks for 10° ≤ 2θ ≤ 90°, by intensity:
two_theta, intensity, (hkl)
41.01, 100, 2 2 0
24.77, 44, 1 1 1
74.70, 34, 4 2 2
48.50, 23, 3 1 1
59.39, 17, 4 0 0
88.94, 11, 4 4 0